The following is a calculated X-ray diffraction stick pattern of RbMgFe2F8. It was derived from a DFT-relaxed cell (GGA+U, Alexandria), using Cu Kα (λ = 1.5418 Å).
Kinematic intensities with the Lorentz-polarization factor, no thermal factor.

Largest 6 diffraction maxima, most intense first, 10 to 80 degrees two-theta:
hkl	d [Å]	2theta	I/Imax
1 0 1	4.099	21.68	100
0 1 2	3.039	29.39	61
0 0 3	2.616	34.28	54
1 1 0	2.775	32.26	53
3 0 0	1.602	57.54	48
0 2 2	2.049	44.20	24

a b c (Å): 5.5504 5.5504 7.8446
angles (deg): 90.00 90.00 120.00
Positions (direct):
Rb  0.0000  0.0000  0.0000
Mg  0.0000  0.0000  0.5000
Fe  0.3333  0.6667  0.7233
Fe  0.6667  0.3333  0.2767
F  0.0447  0.3080  0.6521
F  0.2633  0.9553  0.6521
F  0.3080  0.2633  0.3479
F  0.3333  0.6667  0.9616
F  0.6667  0.3333  0.0384
F  0.6920  0.7367  0.6521
F  0.7367  0.0447  0.3479
F  0.9553  0.6920  0.3479